(1)
This entry pairs a crystal structure of Ba6Er2Ga4O15 with its calculated powder diffractogram. Radiation: copper Kα. Structure: a PBE-relaxed structure.

Principal peaks in the range 10° ≤ 2θ ≤ 90°, in order of rising 2θ:
- (0 0 6), 2θ 28.75, rel. 51.6
- (0 2 0), 2θ 29.65, rel. 56.0
- (2 1 -3), 2θ 30.15, rel. 96.0
- (2 1 3), 2θ 30.64, rel. 100.0
- (0 2 6), 2θ 41.77, rel. 48.1
- (4 0 0), 2θ 45.22, rel. 23.2
- (2 1 -9), 2θ 51.49, rel. 18.5
- (2 3 -3), 2θ 52.93, rel. 18.3
- (2 3 3), 2θ 53.23, rel. 20.5
- (4 2 0), 2θ 55.03, rel. 25.4

Cell and atoms:
```
data_Ba6Er2Ga4O15
_symmetry_space_group_name_H-M 'P 1 2/c 1'
_symmetry_Int_Tables_number 13
_cell_length_a 8.0232
_cell_length_b 6.0253
_cell_length_c 18.6390
_cell_angle_alpha 90.00
_cell_angle_beta 91.29
_cell_angle_gamma 90.00
loop_
_symmetry_equiv_pos_as_xyz
'x,y,z'
'-x,-y,-z'
'-x,y,-z+1/2'
'x,-y,z+1/2'
loop_
_atom_site_label
_atom_site_fract_x
_atom_site_fract_y
_atom_site_fract_z
Ba1 0.0000 0.1721 0.2500
Ba2 0.0003 0.2543 0.5790
Ba3 0.4738 0.2502 0.9100
Ba4 0.5000 0.2248 0.2500
Er1 0.2527 0.2482 0.0895
Ga1 0.2544 0.2456 0.4426
Ga2 0.2702 0.2726 0.7326
O1 0.0311 0.2555 0.4104
O2 0.1885 0.1661 0.8163
O3 0.2227 0.4580 0.1888
O4 0.2535 0.0464 0.6625
O5 0.2661 0.0153 0.9982
O6 0.2668 0.4842 0.5093
O7 0.4538 0.2662 0.3922
O8 0.5000 0.3068 0.7500
```

(2)
This entry pairs a crystal structure of Ba2ErIn3Hg12 with its calculated powder diffractogram. Radiation: copper Kα. Structure: a PBE-relaxed structure.

Principal peaks in the range 10° ≤ 2θ ≤ 90°, in order of rising 2θ:
- (1 0 4), 2θ 17.26, rel. 22.6
- (1 0 10), 2θ 27.13, rel. 19.5
- (0 1 11), 2θ 29.08, rel. 28.5
- (2 0 2), 2θ 29.97, rel. 16.8
- (0 2 4), 2θ 31.02, rel. 78.5
- (2 0 8), 2θ 34.93, rel. 100.0
- (0 2 10), 2θ 37.63, rel. 51.7
- (0 0 18), 2θ 41.47, rel. 22.4
- (2 2 0), 2θ 52.55, rel. 43.1
- (2 2 18), 2θ 69.06, rel. 26.0

Cell and atoms:
```
data_Ba2ErIn3Hg12
_symmetry_space_group_name_H-M 'R -3 m'
_symmetry_Int_Tables_number 166
_symmetry_space_group_name_Hall '-R 3 2"'
_cell_length_a 6.9663
_cell_length_b 6.9663
_cell_length_c 39.1907
_cell_angle_alpha 90.00
_cell_angle_beta 90.00
_cell_angle_gamma 120.00
loop_
_atom_site_label
_atom_site_fract_x
_atom_site_fract_y
_atom_site_fract_z
Ba1 0.0000 0.0000 0.1389
Er1 0.0000 0.0000 0.5000
In1 0.0000 0.5000 0.0000
Hg1 0.0131 0.5065 0.8879
Hg2 0.0348 0.5174 0.6116
```

(3)
This entry pairs a crystal structure of BaLaEr with its calculated powder diffractogram. Radiation: copper Kα. Structure: a PBE-relaxed structure.

Principal peaks in the range 10° ≤ 2θ ≤ 90°, in order of rising 2θ:
- (1 0 3), 2θ 28.26, rel. 100.0
- (0 0 6), 2θ 32.50, rel. 14.4
- (1 1 0), 2θ 32.86, rel. 35.8
- (1 1 6), 2θ 46.89, rel. 20.7
- (2 0 0), 2θ 47.15, rel. 13.0
- (1 0 9), 2θ 55.42, rel. 9.1
- (2 1 3), 2θ 55.88, rel. 32.0
- (2 0 6), 2θ 58.44, rel. 10.7
- (2 1 9), 2θ 75.66, rel. 7.3
- (3 1 6), 2θ 87.51, rel. 7.2

Cell and atoms:
```
data_BaLaEr
_symmetry_space_group_name_H-M 'I 4 m m'
_symmetry_Int_Tables_number 107
_symmetry_space_group_name_Hall 'I 4 -2'
_cell_length_a 3.8547
_cell_length_b 3.8547
_cell_length_c 16.5292
_cell_angle_alpha 90.00
_cell_angle_beta 90.00
_cell_angle_gamma 90.00
loop_
_atom_site_label
_atom_site_fract_x
_atom_site_fract_y
_atom_site_fract_z
Ba1 0.0000 0.0000 0.0000
La1 0.0000 0.0000 0.6870
Er1 0.0000 0.0000 0.3228
```

Copy entry 2 word for word.
This entry pairs a crystal structure of Ba2ErIn3Hg12 with its calculated powder diffractogram. Radiation: copper Kα. Structure: a PBE-relaxed structure.

Principal peaks in the range 10° ≤ 2θ ≤ 90°, in order of rising 2θ:
- (1 0 4), 2θ 17.26, rel. 22.6
- (1 0 10), 2θ 27.13, rel. 19.5
- (0 1 11), 2θ 29.08, rel. 28.5
- (2 0 2), 2θ 29.97, rel. 16.8
- (0 2 4), 2θ 31.02, rel. 78.5
- (2 0 8), 2θ 34.93, rel. 100.0
- (0 2 10), 2θ 37.63, rel. 51.7
- (0 0 18), 2θ 41.47, rel. 22.4
- (2 2 0), 2θ 52.55, rel. 43.1
- (2 2 18), 2θ 69.06, rel. 26.0

Cell and atoms:
```
data_Ba2ErIn3Hg12
_symmetry_space_group_name_H-M 'R -3 m'
_symmetry_Int_Tables_number 166
_symmetry_space_group_name_Hall '-R 3 2"'
_cell_length_a 6.9663
_cell_length_b 6.9663
_cell_length_c 39.1907
_cell_angle_alpha 90.00
_cell_angle_beta 90.00
_cell_angle_gamma 120.00
loop_
_atom_site_label
_atom_site_fract_x
_atom_site_fract_y
_atom_site_fract_z
Ba1 0.0000 0.0000 0.1389
Er1 0.0000 0.0000 0.5000
In1 0.0000 0.5000 0.0000
Hg1 0.0131 0.5065 0.8879
Hg2 0.0348 0.5174 0.6116
```

> Which formula does entry 2 have?

Ba2ErIn3Hg12